(1)
Structure and simulated PXRD pattern of Ac2NdBr2N2 (a DFT-relaxed cell (PBE, Alexandria); Cu Kα (weighted mean of Kα1 and Kα2)).
Intensities are scaled so that the largest is 100.

Most intense lines, 2θ = 10–90°, in order of rising 2θ:
| Position (°2θ) | I/Imax |
| --- | --- |
| 10.79 | 23 |
| 19.57 | 15 |
| 26.70 | 83 |
| 33.26 | 100 |
| 38.12 | 38 |
| 51.47 | 59 |
| 62.18 | 16 |
| 63.16 | 14 |
| 65.82 | 14 |
| 78.68 | 17 |

```
data_Ac2NdBr2N2
_space_group_name_H-M_alt 'I 4/m m m'
_space_group_IT_number 139
_space_group_name_Hall '-I 4 2'
_cell_length_a 4.721
_cell_length_b 4.721
_cell_length_c 16.403
_cell_angle_alpha 90.00
_cell_angle_beta 90.00
_cell_angle_gamma 90.00
loop_
_atom_site_label
_atom_site_type_symbol
_atom_site_fract_x
_atom_site_fract_y
_atom_site_fract_z
Ac1 Ac 0.000 0.000 0.099
Nd1 Nd 0.000 0.000 0.500
Br1 Br 0.000 0.000 0.309
N1 N 0.000 0.500 0.000
```

=====

(2)
Structure and simulated PXRD pattern of BaYB6C6 (a DFT-relaxed cell (PBE, Alexandria); Cu Kα (weighted mean of Kα1 and Kα2)).
Intensities are scaled so that the largest is 100.

Most intense lines, 2θ = 10–90°, in order of rising 2θ:
| Position (°2θ) | I/Imax |
| --- | --- |
| 18.01 | 5 |
| 25.57 | 100 |
| 36.48 | 40 |
| 45.08 | 85 |
| 52.55 | 15 |
| 59.33 | 21 |
| 71.69 | 41 |
| 77.51 | 6 |
| 83.21 | 12 |
| 88.84 | 12 |

```
data_BaYB6C6
_space_group_name_H-M_alt 'P m -3'
_space_group_IT_number 200
_space_group_name_Hall '-P 2 2 3'
_cell_length_a 4.926
_cell_length_b 4.926
_cell_length_c 4.926
_cell_angle_alpha 90.00
_cell_angle_beta 90.00
_cell_angle_gamma 90.00
loop_
_atom_site_label
_atom_site_type_symbol
_atom_site_fract_x
_atom_site_fract_y
_atom_site_fract_z
Ba1 Ba 0.000 0.000 0.000
Y1 Y 0.500 0.500 0.500
B1 B 0.000 0.255 0.500
C1 C 0.000 0.500 0.259
```

=====

(3)
Structure and simulated PXRD pattern of La5Er2Th2 (a DFT-relaxed cell (PBE, Alexandria); Cu Kα (weighted mean of Kα1 and Kα2)).
Intensities are scaled so that the largest is 100.

Most intense lines, 2θ = 10–90°, in order of rising 2θ:
| Position (°2θ) | I/Imax |
| --- | --- |
| 28.64 | 25 |
| 28.92 | 41 |
| 30.69 | 100 |
| 30.98 | 26 |
| 31.21 | 85 |
| 32.36 | 41 |
| 32.63 | 44 |
| 32.88 | 39 |
| 34.97 | 48 |
| 50.75 | 28 |

```
data_La5Er2Th2
_space_group_name_H-M_alt 'P -1'
_space_group_IT_number 2
_cell_length_a 6.269
_cell_length_b 6.275
_cell_length_c 8.898
_cell_angle_alpha 74.80
_cell_angle_beta 74.31
_cell_angle_gamma 70.01
loop_
_space_group_symop_operation_xyz
'x,y,z'
'-x,-y,-z'
loop_
_atom_site_label
_atom_site_type_symbol
_atom_site_fract_x
_atom_site_fract_y
_atom_site_fract_z
La1 La 0.000 0.000 0.000
La2 La 0.217 0.662 0.703
La3 La 0.342 0.789 0.293
Er1 Er 0.335 0.344 0.104
Th1 Th 0.218 0.221 0.526
```

=====

(4)
Structure and simulated PXRD pattern of Ho3Sb2 (a DFT-relaxed cell (PBE, Alexandria); Cu Kα (weighted mean of Kα1 and Kα2)).
Intensities are scaled so that the largest is 100.

Most intense lines, 2θ = 10–90°, in order of rising 2θ:
| Position (°2θ) | I/Imax |
| --- | --- |
| 25.51 | 100 |
| 26.75 | 43 |
| 28.72 | 42 |
| 31.66 | 81 |
| 32.90 | 75 |
| 35.96 | 99 |
| 37.88 | 43 |
| 38.56 | 40 |
| 42.82 | 68 |
| 49.84 | 62 |

```
data_Ho3Sb2
_space_group_name_H-M_alt 'I b a m'
_space_group_IT_number 72
_space_group_name_Hall '-I 2 2c'
_cell_length_a 8.406
_cell_length_b 11.514
_cell_length_c 6.217
_cell_angle_alpha 90.00
_cell_angle_beta 90.00
_cell_angle_gamma 90.00
loop_
_atom_site_label
_atom_site_type_symbol
_atom_site_fract_x
_atom_site_fract_y
_atom_site_fract_z
Ho1 Ho 0.000 0.000 0.250
Ho2 Ho 0.145 0.346 0.000
Sb1 Sb 0.211 0.392 0.500
```

=====

(5)
Structure and simulated PXRD pattern of LaTb2In6 (a DFT-relaxed cell (PBE, Alexandria); Cu Kα (weighted mean of Kα1 and Kα2)).
Intensities are scaled so that the largest is 100.

Most intense lines, 2θ = 10–90°, in order of rising 2θ:
| Position (°2θ) | I/Imax |
| --- | --- |
| 32.06 | 100 |
| 35.80 | 77 |
| 48.81 | 31 |
| 50.07 | 10 |
| 61.99 | 29 |
| 63.07 | 29 |
| 64.33 | 13 |
| 75.86 | 8 |
| 84.73 | 12 |
| 85.69 | 12 |

```
data_LaTb2In6
_space_group_name_H-M_alt 'P 6/m m m'
_space_group_IT_number 191
_space_group_name_Hall '-P 6 2'
_cell_length_a 8.6892
_cell_length_b 8.6892
_cell_length_c 3.6435
_cell_angle_alpha 90.00
_cell_angle_beta 90.00
_cell_angle_gamma 120.00
loop_
_atom_site_label
_atom_site_type_symbol
_atom_site_fract_x
_atom_site_fract_y
_atom_site_fract_z
La1 La 0.0000 0.0000 0.0000
Tb1 Tb 0.3333 0.6667 0.0000
In1 In 0.0000 0.3360 0.5000
```

=====

(6)
Structure and simulated PXRD pattern of Tb4TePtSe2 (a DFT-relaxed cell (PBE, Alexandria); Cu Kα (weighted mean of Kα1 and Kα2)).
Intensities are scaled so that the largest is 100.

Most intense lines, 2θ = 10–90°, in order of rising 2θ:
| Position (°2θ) | I/Imax |
| --- | --- |
| 12.74 | 16 |
| 29.96 | 52 |
| 30.21 | 100 |
| 42.29 | 18 |
| 43.00 | 37 |
| 43.13 | 39 |
| 44.19 | 18 |
| 54.31 | 20 |
| 62.82 | 11 |
| 80.52 | 12 |

```
data_Tb4TePtSe2
_space_group_name_H-M_alt 'P 1 2/m 1'
_space_group_IT_number 10
_cell_length_a 7.323
_cell_length_b 4.099
_cell_length_c 7.352
_cell_angle_alpha 90.00
_cell_angle_beta 108.75
_cell_angle_gamma 90.00
loop_
_space_group_symop_operation_xyz
'x,y,z'
'-x,-y,-z'
'-x,y,-z'
'x,-y,z'
loop_
_atom_site_label
_atom_site_type_symbol
_atom_site_fract_x
_atom_site_fract_y
_atom_site_fract_z
Tb1 Tb 0.236 0.000 0.224
Tb2 Tb 0.260 0.500 0.769
Te1 Te 0.000 0.000 0.500
Pt1 Pt 0.000 0.500 0.000
Se1 Se 0.500 0.000 0.000
Se2 Se 0.500 0.500 0.500
```

=====

(7)
Structure and simulated PXRD pattern of ThCo5P2 (a DFT-relaxed cell (PBE, Alexandria); Cu Kα (weighted mean of Kα1 and Kα2)).
Intensities are scaled so that the largest is 100.

Most intense lines, 2θ = 10–90°, in order of rising 2θ:
| Position (°2θ) | I/Imax |
| --- | --- |
| 17.09 | 13 |
| 28.17 | 14 |
| 33.12 | 18 |
| 34.62 | 37 |
| 38.89 | 100 |
| 49.76 | 21 |
| 49.93 | 15 |
| 54.02 | 11 |
| 62.14 | 11 |
| 73.16 | 13 |

```
data_ThCo5P2
_space_group_name_H-M_alt 'I m m m'
_space_group_IT_number 71
_space_group_name_Hall '-I 2 2'
_cell_length_a 3.653
_cell_length_b 6.363
_cell_length_c 8.964
_cell_angle_alpha 90.00
_cell_angle_beta 90.00
_cell_angle_gamma 90.00
loop_
_atom_site_label
_atom_site_type_symbol
_atom_site_fract_x
_atom_site_fract_y
_atom_site_fract_z
Th1 Th 0.000 0.000 0.000
Co1 Co 0.000 0.192 0.350
Co2 Co 0.000 0.500 0.000
P1 P 0.000 0.500 0.238
```

=====

(8)
Structure and simulated PXRD pattern of CsScGaSe4 (a DFT-relaxed cell (PBE, Alexandria); Cu Kα (weighted mean of Kα1 and Kα2)).
Intensities are scaled so that the largest is 100.

Most intense lines, 2θ = 10–90°, in order of rising 2θ:
| Position (°2θ) | I/Imax |
| --- | --- |
| 23.39 | 51 |
| 26.01 | 26 |
| 27.22 | 44 |
| 27.95 | 62 |
| 29.96 | 71 |
| 31.17 | 70 |
| 31.34 | 100 |
| 39.51 | 28 |
| 40.67 | 30 |
| 43.55 | 30 |

```
data_CsScGaSe4
_space_group_name_H-M_alt 'P 1 21/m 1'
_space_group_IT_number 11
_cell_length_a 6.856
_cell_length_b 6.391
_cell_length_c 9.993
_cell_angle_alpha 90.00
_cell_angle_beta 108.11
_cell_angle_gamma 90.00
loop_
_space_group_symop_operation_xyz
'x,y,z'
'-x,-y,-z'
'-x,y+1/2,-z'
'x,-y+1/2,z'
loop_
_atom_site_label
_atom_site_type_symbol
_atom_site_fract_x
_atom_site_fract_y
_atom_site_fract_z
Cs1 Cs 0.245 0.250 0.050
Sc1 Sc 0.230 0.250 0.549
Ga1 Ga 0.250 0.750 0.345
Se1 Se 0.020 0.516 0.686
Se2 Se 0.460 0.750 0.197
Se3 Se 0.475 0.750 0.581
```